(1)
Starting from a PBE-relaxed structure, the powder diffraction line list of AcPr3Ho7 was simulated for CuKα.
Neutral-atom scattering factors, no anomalous dispersion.

Structure:
Lattice parameters (Å, degrees): 7.1369 7.1369 8.8284 90.00 90.00 120.00
Space group P3m1 (No. 156)
One atom of each set of equivalent atoms:
Ac 0.0000 0.0000 0.0000 x1
Pr 0.1678 0.3356 0.6559 x3
Ho 0.0017 0.5009 0.9998 x3
Ho 0.3333 0.6667 0.3193 x1
Ho 0.3350 0.1675 0.3254 x3

Most intense lines, 10° ≤ 2θ ≤ 80°, by angle:
- (0 0 1), 10.02 deg, I = 11
- (0 0 3), 30.37 deg, I = 33
- (2 0 1), 30.65 deg, I = 100
- (0 2 2), 35.46 deg, I = 69
- (2 0 4), 50.84 deg, I = 24
- (2 2 0), 51.20 deg, I = 24
- (0 2 5), 60.38 deg, I = 15
- (2 2 3), 60.70 deg, I = 28
- (0 4 1), 60.86 deg, I = 14
- (4 0 2), 63.82 deg, I = 13

=====

(2)
Starting from a PBE-relaxed structure, the powder diffraction line list of Rb2MnCu2I6 was simulated for CuKα.
Neutral-atom scattering factors, no anomalous dispersion.

Structure:
Lattice parameters (Å, degrees): 14.3057 8.2037 8.6658 90.00 120.50 90.00
Space group C2/m (No. 12)
One atom of each set of equivalent atoms:
Rb 0.2208 0.0000 0.2080 x4
Mn 0.0000 0.0000 0.5000 x2
Cu 0.0647 0.5000 0.2754 x4
I 0.0414 0.2392 0.7734 x8
I 0.2403 0.0000 0.6523 x4

Most intense lines, 10° ≤ 2θ ≤ 80°, by angle:
- (1 1 -2), 23.73 deg, I = 54
- (0 0 2), 23.83 deg, I = 82
- (4 0 -1), 25.06 deg, I = 29
- (2 2 -1), 25.45 deg, I = 27
- (2 2 0), 26.10 deg, I = 100
- (4 0 -2), 26.57 deg, I = 43
- (4 0 0), 28.97 deg, I = 37
- (2 2 -2), 30.09 deg, I = 72
- (0 4 0), 44.15 deg, I = 33
- (6 2 -3), 46.23 deg, I = 42

=====

(3)
Starting from a PBE-relaxed structure, the powder diffraction line list of Sr3Cd2Cu was simulated for CuKα.
Neutral-atom scattering factors, no anomalous dispersion.

Structure:
Lattice parameters (Å, degrees): 13.1617 4.7448 13.0850 90.00 90.00 90.00
Space group Pnma (No. 62)
One atom of each set of equivalent atoms:
Sr 0.0502 0.2500 0.1264 x4
Sr 0.1145 0.7500 0.5564 x4
Sr 0.2211 0.2500 0.7972 x4
Cd 0.0231 0.7500 0.3126 x4
Cd 0.2031 0.7500 0.9964 x4
Cu 0.1221 0.2500 0.3716 x4

Most intense lines, 10° ≤ 2θ ≤ 80°, by angle:
- (2 1 2), 26.88 deg, I = 48
- (0 1 3), 27.78 deg, I = 100
- (3 1 1), 28.57 deg, I = 99
- (3 1 2), 30.94 deg, I = 94
- (4 1 1), 33.85 deg, I = 63
- (2 1 4), 35.99 deg, I = 80
- (0 2 0), 37.93 deg, I = 81
- (3 0 5), 40.12 deg, I = 40
- (5 1 3), 44.51 deg, I = 37
- (3 2 5), 56.39 deg, I = 37